(1)
For CaCuNi, a structure optimized by DFT (GGA-PBE) gives the simulated powder XRD pattern in this record (Cu Kα (weighted mean of Kα1 and Kα2)).
Kinematic intensities with the Lorentz-polarization factor, no thermal factor.

Cell and atoms:
```
data_CaCuNi
_chemical_formula_sum 'Ca4 Cu4 Ni4'
_symmetry_space_group_name_H-M 'A m a 2'
_symmetry_Int_Tables_number 40
_cell_length_a 4.2533
_cell_length_b 5.0469
_cell_length_c 9.8084
_cell_angle_alpha 90.00
_cell_angle_beta 90.00
_cell_angle_gamma 90.00
loop_
_symmetry_equiv_pos_as_xyz
'x,y,z'
'-x,-y,z'
'-x+1/2,y,z'
'x+1/2,-y,z'
'x,y+1/2,z+1/2'
'-x,-y+1/2,z+1/2'
'-x+1/2,y+1/2,z+1/2'
'x+1/2,-y+1/2,z+1/2'
loop_
_atom_site_label
_atom_site_type_symbol
_atom_site_fract_x
_atom_site_fract_y
_atom_site_fract_z
Ca1 Ca 0.2500 0.2421 0.0000
Cu1 Cu 0.2500 0.1341 0.2792
Ni1 Ni 0.2500 0.1260 0.7185
```

Top 8 peaks for 2θ = 10–90°, by angle:
18.09°, 4.904 Å, I 100, (0 0 2)
36.65°, 2.452 Å, I 49, (0 0 4)
39.07°, 2.306 Å, I 76, (1 1 3)
41.61°, 2.170 Å, I 67, (1 2 0)
42.51°, 2.127 Å, I 51, (2 0 0)
45.72°, 1.985 Å, I 77, (1 2 2)
56.63°, 1.625 Å, I 31, (1 2 4)
57.35°, 1.607 Å, I 25, (2 0 4)

(2)
For Ca2CuNi2, a structure optimized by DFT (GGA-PBE) gives the simulated powder XRD pattern in this record (Cu Kα (weighted mean of Kα1 and Kα2)).
Kinematic intensities with the Lorentz-polarization factor, no thermal factor.

Cell and atoms:
```
data_Ca2CuNi2
_chemical_formula_sum 'Ca8 Cu4 Ni8'
_symmetry_space_group_name_H-M 'C 1 2/c 1'
_symmetry_Int_Tables_number 15
_cell_length_a 9.0966
_cell_length_b 5.4509
_cell_length_c 7.7416
_cell_angle_alpha 90.00
_cell_angle_beta 102.81
_cell_angle_gamma 90.00
loop_
_symmetry_equiv_pos_as_xyz
'x,y,z'
'-x,-y,-z'
'-x,y,-z+1/2'
'x,-y,z+1/2'
'x+1/2,y+1/2,z'
'-x+1/2,-y+1/2,-z'
'-x+1/2,y+1/2,-z+1/2'
'x+1/2,-y+1/2,z+1/2'
loop_
_atom_site_label
_atom_site_type_symbol
_atom_site_fract_x
_atom_site_fract_y
_atom_site_fract_z
Ca1 Ca 0.1506 0.1340 0.1511
Cu1 Cu 0.0000 0.3768 0.7500
Ni1 Ni 0.1302 0.3676 0.5022
```

Top 8 peaks for 2θ = 10–90°, by angle:
19.11°, 4.644 Å, I 90, (1 1 0)
34.45°, 2.603 Å, I 44, (2 0 2)
35.00°, 2.564 Å, I 66, (0 2 1)
38.02°, 2.367 Å, I 60, (3 1 -2)
38.67°, 2.329 Å, I 79, (1 1 -3)
38.78°, 2.322 Å, I 54, (3 1 1)
42.02°, 2.150 Å, I 100, (2 2 1)
42.45°, 2.129 Å, I 49, (4 0 -2)